AcTb2TmAs4: computed XRD peak list (a wavelength of 1.5418 Å), based on a DFT-relaxed cell (PBE, Alexandria).
Kinematic intensities with the Lorentz-polarization factor, no thermal factor.

a = 7.3266 Å, b = 4.2336 Å, c = 7.3331 Å
α = 90.00°, β = 109.37°, γ = 90.00°
Space group P2/m (No. 10)
Asymmetric unit:
Ac: 0.0000 0.0000 0.0000 (multiplicity 1)
Tb: 0.0000 0.5000 0.5000 (multiplicity 1)
Tb: 0.5000 0.0000 0.5000 (multiplicity 1)
Tm: 0.5000 0.5000 0.0000 (multiplicity 1)
As: 0.2603 0.0000 0.7459 (multiplicity 2)
As: 0.2667 0.5000 0.2634 (multiplicity 2)

Most intense lines, 10° ≤ 2θ ≤ 80°, in order of rising 2θ:
2θ (°), I_rel, hkl
25.77, 29, 2 0 0
29.85, 100, 1 1 1
42.72, 75, 0 2 0
50.56, 15, 3 1 1
52.98, 27, 2 2 -2
62.01, 12, 2 2 2
70.31, 28, 1 3 1
78.20, 19, 1 3 -3

---

Ac4TeAs3: computed XRD peak list (a wavelength of 1.5418 Å), based on a DFT-relaxed cell (PBE, Alexandria).
Kinematic intensities with the Lorentz-polarization factor, no thermal factor.

a = 4.5740 Å, b = 6.5095 Å, c = 9.2282 Å
α = 90.00°, β = 90.00°, γ = 90.00°
Space group Pmmm (No. 47)
Asymmetric unit:
Ac: 0.0000 0.0000 0.0000 (multiplicity 1)
Ac: 0.0000 0.0000 0.5000 (multiplicity 1)
Ac: 0.5000 0.5000 0.2318 (multiplicity 2)
Te: 0.0000 0.5000 0.5000 (multiplicity 1)
As: 0.0000 0.5000 0.0000 (multiplicity 1)
As: 0.5000 0.0000 0.2515 (multiplicity 2)

Most intense lines, 10° ≤ 2θ ≤ 80°, in order of rising 2θ:
2θ (°), I_rel, hkl
23.63, 16, 0 1 2
23.78, 17, 1 1 0
27.44, 100, 0 2 0
39.18, 52, 1 2 2
39.40, 13, 2 0 0
48.36, 14, 0 2 4
48.66, 14, 2 2 0
64.03, 24, 1 4 2

---

AcThTeAs: computed XRD peak list (a wavelength of 1.5418 Å), based on a DFT-relaxed cell (PBE, Alexandria).
Kinematic intensities with the Lorentz-polarization factor, no thermal factor.

a = 4.3639 Å, b = 4.3639 Å, c = 23.5710 Å
α = 90.00°, β = 90.00°, γ = 120.00°
Space group R3m (No. 160, hexagonal axes)
Asymmetric unit:
Ac: 0.0000 0.0000 0.0000 (multiplicity 3)
Th: 0.0000 0.0000 0.8106 (multiplicity 3)
Te: 0.0000 0.0000 0.2324 (multiplicity 3)
As: 0.0000 0.0000 0.4120 (multiplicity 3)

Most intense lines, 10° ≤ 2θ ≤ 80°, in order of rising 2θ:
2θ (°), I_rel, hkl
23.85, 32, 1 0 1
28.05, 33, 1 0 4
30.31, 100, 0 1 5
35.71, 22, 1 0 7
41.38, 49, 1 1 0
45.34, 23, 1 0 10
52.15, 22, 2 0 5
68.66, 20, 1 2 5

---

AcYTeAs: computed XRD peak list (a wavelength of 1.5418 Å), based on a DFT-relaxed cell (PBE, Alexandria).
Kinematic intensities with the Lorentz-polarization factor, no thermal factor.

a = 4.3876 Å, b = 4.3876 Å, c = 22.3548 Å
α = 90.00°, β = 90.00°, γ = 120.00°
Space group R3m (No. 160, hexagonal axes)
Asymmetric unit:
Ac: 0.0000 0.0000 0.0000 (multiplicity 3)
Y: 0.0000 0.0000 0.4806 (multiplicity 3)
Te: 0.0000 0.0000 0.2326 (multiplicity 3)
As: 0.0000 0.0000 0.7486 (multiplicity 3)

Most intense lines, 10° ≤ 2θ ≤ 80°, in order of rising 2θ:
2θ (°), I_rel, hkl
23.75, 14, 1 0 1
28.40, 100, 1 0 4
30.88, 16, 0 1 5
40.05, 34, 0 1 8
41.15, 39, 1 1 0
50.75, 20, 0 2 4
65.76, 12, 1 1 12
67.31, 17, 2 1 4